No. 1
Structure and computed powder diffraction line list of MgV4FeNiO12 (DFT lattice parameters and positions (PBE+U); a wavelength of 1.5418 Å).
Lines closer than 0.1° are merged.

Top 10 peaks for 2θ from 15° to 90°, by angle:
2θ (°)	I_rel
18.73	53
18.91	32
20.46	76
28.33	45
28.65	100
29.81	85
31.93	67
38.04	29
47.75	49
53.17	25

Structural model:
```
MgV4FeNiO12
1.0
5.8643 0.0000 0.0000
1.5507 6.2167 0.0000
1.4026 0.7325 6.7775
Mg V Fe Ni O
1 4 1 1 12
Cartesian
0.0000 0.0000 0.0000
2.5268 1.7237 0.2099
4.6162 5.2624 4.5115
6.6336 3.4773 5.9124
7.3583 6.3910 3.5656
3.7319 4.3668 1.2286
6.4530 3.6084 2.4163
2.9045 6.0735 4.7905
2.3234 2.4640 6.0268
2.4071 2.8267 1.5985
3.5293 6.1287 0.6059
4.6493 4.2298 6.0565
4.4619 4.3413 2.9865
4.1231 0.4868 4.1714
5.6751 1.9128 6.4687
5.5180 3.7720 0.6293
6.6930 4.3207 4.3389
6.1441 1.7187 3.0370
7.2599 5.4982 2.0403
```

=====

No. 2
Structure and computed powder diffraction line list of MgFe2O3 (DFT lattice parameters and positions (PBE+U); a wavelength of 1.5418 Å).
Lines closer than 0.1° are merged.

Top 10 peaks for 2θ from 15° to 90°, by angle:
2θ (°)	I_rel
30.02	14
35.70	71
40.73	100
42.89	43
58.96	29
60.63	53
70.87	21
73.90	9
75.63	25
88.21	8

Structural model:
```
MgFe2O3
1.0
0.0000 2.2150 6.6469
2.1084 0.0000 6.6469
2.1084 2.2150 0.0000
Mg Fe O
1 2 3
Cartesian
0.0000 0.0000 0.0000
2.1084 2.2150 4.4431
2.1084 2.2150 8.8508
2.1084 2.2150 2.1652
2.1084 2.2150 6.6469
2.1084 2.2150 11.1287
```

=====

No. 3
Structure and computed powder diffraction line list of Mg4FeO5 (DFT lattice parameters and positions (PBE+U); a wavelength of 1.5418 Å).
Lines closer than 0.1° are merged.

Top 10 peaks for 2θ from 15° to 90°, by angle:
2θ (°)	I_rel
36.16	9
36.40	25
42.18	100
42.28	50
61.07	42
61.31	14
61.43	28
73.32	6
76.74	6
77.32	19

Structural model:
```
Mg4FeO5
1.0
2.6128 -1.5120 0.0000
2.6128 1.5120 0.0000
-1.7857 0.0000 24.8385
Mg Fe O
8 2 10
Cartesian
1.2930 0.7557 7.4394
1.2801 0.7555 14.9433
1.2670 0.7555 22.3144
3.0397 0.7557 4.9798
0.4002 -0.7557 19.8587
2.1729 -0.7555 2.5241
2.1598 -0.7555 9.8952
2.1469 -0.7557 17.3990
1.3064 0.7560 0.0000
0.4136 -0.7560 12.4192
1.2998 0.7572 3.7526
1.2884 0.7777 11.0933
1.2735 0.7559 18.6289
3.0443 0.7777 1.3260
3.0329 0.7572 8.6666
0.4070 -0.7572 16.1719
0.3956 -0.7777 23.5125
2.1664 -0.7559 6.2096
2.1515 -0.7777 13.7452
2.1401 -0.7572 21.0859
```

=====

No. 4
Structure and computed powder diffraction line list of Mg2Fe2O5 (DFT lattice parameters and positions (PBE+U); a wavelength of 1.5418 Å).
Lines closer than 0.1° are merged.

Top 10 peaks for 2θ from 15° to 90°, by angle:
2θ (°)	I_rel
23.44	39
25.90	14
33.07	29
33.69	22
35.21	100
36.77	15
47.93	31
55.33	14
60.46	22
61.24	28

Structural model:
```
Mg2Fe2O5
1.0
-6.8795 2.6601 2.7086
6.8795 -2.6601 2.7086
6.8795 2.6601 -2.7086
Mg Fe O
4 4 10
Cartesian
1.6190 0.0575 0.0000
5.2605 0.0575 0.0000
1.6190 2.6026 2.7086
5.2605 2.6026 2.7086
3.4397 -0.1770 2.6260
3.4397 2.8371 -0.0825
0.0000 2.6601 0.2960
0.0000 0.0000 3.0046
7.4605 1.3637 -1.0220
6.2985 -1.2964 1.6866
10.3192 0.6776 0.6849
1.9650 1.9291 0.6769
4.9145 1.9291 0.6769
-0.5810 1.2964 1.6866
7.4605 1.2964 1.6866
1.9650 0.7310 3.3855
4.9145 0.7310 3.3855
-3.4397 1.9825 3.3935
```

=====

Repeat the second record exactly.
Structure and computed powder diffraction line list of MgFe2O3 (DFT lattice parameters and positions (PBE+U); a wavelength of 1.5418 Å).
Lines closer than 0.1° are merged.

Top 10 peaks for 2θ from 15° to 90°, by angle:
2θ (°)	I_rel
30.02	14
35.70	71
40.73	100
42.89	43
58.96	29
60.63	53
70.87	21
73.90	9
75.63	25
88.21	8

Structural model:
```
MgFe2O3
1.0
0.0000 2.2150 6.6469
2.1084 0.0000 6.6469
2.1084 2.2150 0.0000
Mg Fe O
1 2 3
Cartesian
0.0000 0.0000 0.0000
2.1084 2.2150 4.4431
2.1084 2.2150 8.8508
2.1084 2.2150 2.1652
2.1084 2.2150 6.6469
2.1084 2.2150 11.1287
```

=====

Which formula does entry 1 have? MgV4FeNiO12